Starting from a crystal structure in Alexandria, relaxed with GGA-PBE, the powder diffractogram of KPu2Cd2O7 was computed for λ = 1.5418 Å (Cu Kα).
No peak broadening, texture or thermal motion is included.

Largest 8 diffraction maxima, low angle first, 2θ = 10–90°:
| two_theta | I/Imax |
| --- | --- |
| 20.24 | 65.7 |
| 21.51 | 84.6 |
| 24.88 | 44.8 |
| 29.69 | 100.0 |
| 30.36 | 60.0 |
| 34.10 | 75.2 |
| 40.12 | 42.3 |
| 53.01 | 41.0 |

Structure:
```
data_KPu2Cd2O7
_space_group_name_H-M_alt 'I m m m'
_space_group_IT_number 71
_space_group_name_Hall '-I 2 2'
_cell_length_a 4.2202
_cell_length_b 4.4950
_cell_length_c 20.2474
_cell_angle_alpha 90.00
_cell_angle_beta 90.00
_cell_angle_gamma 90.00
loop_
_atom_site_label
_atom_site_fract_x
_atom_site_fract_y
_atom_site_fract_z
_atom_site_occupancy
K1 0.0000 0.0000 0.0000 1
Pu1 0.0000 0.0000 0.3950 1
Cd1 0.0000 0.5000 0.2740 1
O1 0.0000 0.0000 0.2771 1
O2 0.0000 0.0000 0.5000 1
O3 0.0000 0.5000 0.1052 1
O4 0.0000 0.5000 0.3893 1
```